For NbFeC, the GGA-PBE geometry in Alexandria gives the computed X-ray diffraction stick pattern in this record (Cu Kα X-rays).

Atomic structure:
Lattice parameters (Å, degrees): 5.444 5.724 8.733 90.00 90.00 90.00
Space group Fmmm (No. 69)
Inequivalent atoms, fractional coordinates:
Nb: 0.250 0.000 0.250 [8 per cell]
Fe: 0.000 0.221 0.000 [8 per cell]
C: 0.221 0.000 0.500 [8 per cell]

Peak list (12 most intense, 5° ≤ 2θ ≤ 70°, in order of rising 2θ)
h k l	d/Å	intensity
0 0 2	4.367	7
0 2 0	2.862	11
2 0 0	2.722	8
0 2 2	2.394	100
2 0 2	2.310	96
0 0 4	2.183	52
2 2 0	1.973	71
2 2 2	1.798	5
0 2 4	1.736	5
2 2 4	1.464	51
0 4 0	1.431	10
4 0 0	1.361	12

=====

For Zn13Ga3, the GGA-PBE geometry in Alexandria gives the computed X-ray diffraction stick pattern in this record (Cu Kα X-rays).

Atomic structure:
Lattice parameters (Å, degrees): 5.185 9.884 10.107 90.00 90.00 90.00
Space group Amm2 (No. 38)
Inequivalent atoms, fractional coordinates:
Zn: 0.000 0.000 0.000 [2 per cell]
Zn: 0.000 0.000 0.479 [2 per cell]
Zn: 0.000 0.244 0.239 [4 per cell]
Zn: 0.249 0.249 0.989 [8 per cell]
Zn: 0.250 0.000 0.235 [4 per cell]
Zn: 0.500 0.000 0.000 [2 per cell]
Zn: 0.500 0.245 0.238 [4 per cell]
Ga: 0.250 0.000 0.750 [4 per cell]
Ga: 0.500 0.000 0.482 [2 per cell]

Peak list (7 most intense, 5° ≤ 2θ ≤ 70°, in order of rising 2θ)
h k l	d/Å	intensity
0 1 1	7.067	1
0 0 4	2.527	43
0 4 0	2.471	41
0 3 3	2.356	1
2 2 2	2.090	100
0 4 4	1.767	28
2 2 6	1.358	22

=====

For Pm4Pr4Y5, the GGA-PBE geometry in Alexandria gives the computed X-ray diffraction stick pattern in this record (Cu Kα X-rays).

Atomic structure:
Lattice parameters (Å, degrees): 13.142 13.142 5.140 90.00 90.00 90.00
Space group I4/m (No. 87)
Inequivalent atoms, fractional coordinates:
Pm: 0.153 0.770 0.000 [8 per cell]
Pr: 0.079 0.383 0.000 [8 per cell]
Y: 0.000 0.000 0.000 [2 per cell]
Y: 0.039 0.190 0.500 [8 per cell]

Peak list (12 most intense, 5° ≤ 2θ ≤ 70°, in order of rising 2θ)
h k l	d/Å	intensity
1 1 0	9.293	3
2 0 0	6.571	1
1 0 1	4.787	1
3 1 0	4.156	1
2 1 1	3.869	2
3 2 1	2.973	100
1 5 0	2.577	34
0 0 2	2.570	17
6 4 0	1.821	36
8 1 1	1.554	28
3 2 3	1.551	14
6 4 2	1.487	12

=====

For Ac3SiO, the GGA-PBE geometry in Alexandria gives the computed X-ray diffraction stick pattern in this record (Cu Kα X-rays).

Atomic structure:
Lattice parameters (Å, degrees): 8.260 4.250 8.664 90.00 103.78 90.00
Space group P2_1/m (No. 11)
Inequivalent atoms, fractional coordinates:
Ac: 0.060 0.250 0.350 [2 per cell]
Ac: 0.246 0.250 0.973 [2 per cell]
Ac: 0.396 0.750 0.652 [2 per cell]
Si: 0.307 0.750 0.272 [2 per cell]
O: 0.167 0.250 0.659 [2 per cell]

Peak list (12 most intense, 5° ≤ 2θ ≤ 70°, in order of rising 2θ)
h k l	d/Å	intensity
0 1 1	3.794	30
1 1 -1	3.581	16
2 0 1	3.326	100
1 1 1	3.295	20
0 1 2	2.990	48
1 1 -2	2.971	16
2 1 -1	2.917	77
0 0 3	2.805	38
0 2 0	2.125	21
2 1 -4	1.867	35
2 2 1	1.791	36
0 2 3	1.694	18

=====

For H2Pb5Cl12, the GGA-PBE geometry in Alexandria gives the computed X-ray diffraction stick pattern in this record (Cu Kα X-rays).

Atomic structure:
Lattice parameters (Å, degrees): 7.579 8.941 9.327 105.17 92.49 114.44
Space group P-1 (No. 2)
Inequivalent atoms, fractional coordinates:
H: 0.174 0.133 0.409 [2 per cell]
Pb: 0.000 0.000 0.000 [1 per cell]
Pb: 0.318 0.642 0.652 [2 per cell]
Pb: 0.325 0.650 0.164 [2 per cell]
Cl: 0.001 0.015 0.320 [2 per cell]
Cl: 0.093 0.700 0.940 [2 per cell]
Cl: 0.099 0.654 0.400 [2 per cell]
Cl: 0.390 0.302 0.073 [2 per cell]
Cl: 0.404 0.317 0.560 [2 per cell]
Cl: 0.491 0.998 0.746 [2 per cell]

Peak list (12 most intense, 5° ≤ 2θ ≤ 70°, in order of rising 2θ)
h k l	d/Å	intensity
0 1 0	7.745	12
1 -2 0	4.266	100
1 0 -2	4.046	47
1 -1 2	3.893	45
2 -1 0	3.786	28
2 1 -2	2.609	22
0 3 0	2.582	44
2 -3 2	2.530	18
2 0 2	2.497	17
0 1 -4	2.329	19
3 0 0	2.268	20
1 2 2	2.133	21

=====

For Ce6HfSn10, the GGA-PBE geometry in Alexandria gives the computed X-ray diffraction stick pattern in this record (Cu Kα X-rays).

Atomic structure:
Lattice parameters (Å, degrees): 9.2824 9.2824 6.2413 90.00 90.00 120.00
Space group P-31m (No. 162)
Inequivalent atoms, fractional coordinates:
Ce: 0.0000 0.3883 0.2603 [6 per cell]
Hf: 0.0000 0.0000 0.5000 [1 per cell]
Sn: 0.0000 0.2470 0.7900 [6 per cell]
Sn: 0.3333 0.6667 0.0000 [2 per cell]
Sn: 0.3333 0.6667 0.5000 [2 per cell]

Peak list (12 most intense, 5° ≤ 2θ ≤ 70°, in order of rising 2θ)
h k l	d/Å	intensity
1 1 1	3.724	12
3 -1 1	2.732	100
3 0 0	2.680	69
1 1 2	2.590	99
4 -2 1	2.176	16
3 1 1	2.100	16
4 -2 2	1.862	25
3 2 1	1.769	14
2 1 3	1.717	17
4 -1 3	1.520	15
5 0 2	1.429	12
3 0 4	1.348	14

=====

For KAlSi3O8, the GGA-PBE geometry in Alexandria gives the computed X-ray diffraction stick pattern in this record (Cu Kα X-rays).

Atomic structure:
Lattice parameters (Å, degrees): 13.245 2.754 9.437 90.00 134.24 90.00
Space group Cm (No. 8)
Inequivalent atoms, fractional coordinates:
K: 0.000 0.000 0.000 [2 per cell]
Al: 0.348 0.500 0.179 [2 per cell]
Si: 0.152 0.000 0.816 [2 per cell]
Si: 0.167 0.500 0.514 [2 per cell]
Si: 0.336 0.000 0.479 [2 per cell]
O: 0.049 0.000 0.381 [2 per cell]
O: 0.141 0.500 0.927 [2 per cell]
O: 0.163 0.500 0.698 [2 per cell]
O: 0.208 0.500 0.363 [2 per cell]
O: 0.299 0.000 0.639 [2 per cell]
O: 0.331 0.000 0.293 [2 per cell]
O: 0.337 0.000 0.031 [2 per cell]
O: 0.458 0.500 0.615 [2 per cell]

Peak list (12 most intense, 5° ≤ 2θ ≤ 70°, in order of rising 2θ)
h k l	d/Å	intensity
2 0 1	3.018	93
2 0 -3	3.004	36
4 0 -1	2.981	44
4 0 -3	2.967	88
1 1 1	2.315	36
3 1 -2	2.302	39
3 1 0	2.077	96
3 1 -3	2.072	100
6 0 -6	1.573	35
3 1 2	1.491	42
7 1 -5	1.472	40
0 2 0	1.377	36

=====

For YGa2, the GGA-PBE geometry in Alexandria gives the computed X-ray diffraction stick pattern in this record (Cu Kα X-rays).

Atomic structure:
Lattice parameters (Å, degrees): 4.2153 4.2153 4.1225 90.00 90.00 120.00
Space group P6/mmm (No. 191)
Inequivalent atoms, fractional coordinates:
Y: 0.0000 0.0000 0.0000 [1 per cell]
Ga: 0.3333 0.6667 0.5000 [2 per cell]

Peak list (8 most intense, 5° ≤ 2θ ≤ 70°, in order of rising 2θ)
h k l	d/Å	intensity
0 0 1	4.123	5
1 0 0	3.651	1
1 0 1	2.733	100
1 1 0	2.108	49
0 0 2	2.061	15
1 1 1	1.877	4
2 0 1	1.669	22
1 1 2	1.474	30

=====

- Number 1 is which compound?
  NbFeC